Entry 1:
Structure and computed XRD peak list of LiAcAlAg6 (a PBE-relaxed structure; Cu Kα).

```
LiAcAlAg6
1.0
-2.773 5.074 7.385
2.773 -5.074 7.385
2.773 5.074 -7.385
Li Ac Al Ag
2 2 2 12
direct
0.500 0.000 0.000 Li
0.500 0.500 0.500 Li
0.141 0.391 0.750 Ac
0.859 0.609 0.250 Ac
0.000 0.000 0.000 Al
0.500 0.000 0.500 Al
0.177 0.401 0.267 Ag
0.177 0.909 0.776 Ag
0.305 0.055 0.250 Ag
0.348 0.598 0.750 Ag
0.366 0.091 0.767 Ag
0.366 0.599 0.276 Ag
0.634 0.401 0.724 Ag
0.634 0.909 0.233 Ag
0.652 0.402 0.250 Ag
0.695 0.945 0.750 Ag
0.823 0.091 0.224 Ag
0.823 0.599 0.733 Ag
```

Most intense lines, 10° ≤ 2θ ≤ 90°, by angle:
two_theta	I_rel
21.24	51
21.87	34
24.12	85
35.38	59
36.94	100
40.74	52
43.28	31
44.59	62

Entry 2:
Structure and computed XRD peak list of Tb14DyEr (a PBE-relaxed structure; Cu Kα).

```
Tb14DyEr
1.0
7.105 0.000 0.000
0.000 7.105 0.000
0.000 0.000 10.025
Tb Dy Er
14 1 1
direct
0.000 0.000 0.000 Tb
0.000 0.500 0.000 Tb
0.000 0.500 0.500 Tb
0.250 0.250 0.251 Tb
0.250 0.250 0.749 Tb
0.250 0.750 0.251 Tb
0.250 0.750 0.749 Tb
0.500 0.000 0.000 Tb
0.500 0.000 0.500 Tb
0.500 0.500 0.000 Tb
0.750 0.250 0.251 Tb
0.750 0.250 0.749 Tb
0.750 0.750 0.251 Tb
0.750 0.750 0.749 Tb
0.000 0.000 0.500 Dy
0.500 0.500 0.500 Er
```

Most intense lines, 10° ≤ 2θ ≤ 90°, by angle:
two_theta	I_rel
30.85	100
35.77	51
51.49	36
61.20	29
61.31	14
64.28	12
84.04	18
86.70	11